Entry 1:
Computed X-ray diffraction stick pattern
Compound: Mg6SiNi
Radiation: Cu Ka
Structure: DFT lattice parameters and positions (GGA-PBE)
No peak broadening, texture or thermal motion is included.

Structure:
```
data_Mg6SiNi
_cell_length_a 4.7066
_cell_length_b 6.1600
_cell_length_c 10.3320
_cell_angle_alpha 90.00
_cell_angle_beta 90.00
_cell_angle_gamma 90.00
_space_group_name_H-M_alt 'A m m 2'
_space_group_IT_number 38
loop_
_space_group_symop_operation_xyz
'x,y,z'
'-x,-y,z'
'-x,y,z'
'x,-y,z'
'x,y+1/2,z+1/2'
'-x,-y+1/2,z+1/2'
'-x,y+1/2,z+1/2'
'x,-y+1/2,z+1/2'
loop_
_atom_site_label
_atom_site_type_symbol
_atom_site_fract_x
_atom_site_fract_y
_atom_site_fract_z
Mg1 Mg 0.0000 0.0000 0.0000
Mg2 Mg 0.0000 0.0000 0.4954
Mg3 Mg 0.0000 0.2420 0.2364
Mg4 Mg 0.5000 0.2484 0.9104
Si1 Si 0.5000 0.0000 0.6571
Ni1 Ni 0.5000 0.0000 0.1586
```

Top 10 peaks for 10° ≤ 2θ ≤ 90°, in order of rising 2θ:
hkl 0 2 2, d 2.645, 2θ = 33.88°, I = 26.8; hkl 0 0 4, d 2.582, 2θ = 34.74°, I = 15.3; hkl 2 0 0, d 2.353, 2θ = 38.25°, I = 35.2; hkl 1 2 2, d 2.306, 2θ = 39.06°, I = 100.0; hkl 1 0 4, d 2.264, 2θ = 39.81°, I = 46.9; hkl 2 2 2, d 1.758, 2θ = 52.01°, I = 15.0; hkl 0 2 6, d 1.503, 2θ = 61.72°, I = 16.1; hkl 3 2 2, d 1.349, 2θ = 69.68°, I = 16.5; hkl 1 4 4, d 1.273, 2θ = 74.52°, I = 13.2; hkl 2 2 6, d 1.267, 2θ = 74.98°, I = 17.1



Entry 2:
Computed X-ray diffraction stick pattern
Compound: ZrTi2
Radiation: Cu Ka
Structure: DFT lattice parameters and positions (GGA-PBE)
No peak broadening, texture or thermal motion is included.

Structure:
```
data_ZrTi2
_cell_length_a 4.7315
_cell_length_b 4.7315
_cell_length_c 3.0041
_cell_angle_alpha 90.00
_cell_angle_beta 90.00
_cell_angle_gamma 120.00
_space_group_name_H-M_alt 'P 6/m m m'
_space_group_IT_number 191
_space_group_name_Hall '-P 6 2'
loop_
_atom_site_label
_atom_site_type_symbol
_atom_site_fract_x
_atom_site_fract_y
_atom_site_fract_z
Zr1 Zr 0.0000 0.0000 0.0000
Ti1 Ti 0.3333 0.6667 0.5000
```

Top 10 peaks for 10° ≤ 2θ ≤ 90°, in order of rising 2θ:
hkl 1 0 0, d 4.098, 2θ = 21.69°, I = 20.9; hkl 1 0 1, d 2.423, 2θ = 37.11°, I = 100.0; hkl 1 1 0, d 2.366, 2θ = 38.04°, I = 83.1; hkl 2 0 0, d 2.049, 2θ = 44.21°, I = 3.3; hkl 2 0 1, d 1.693, 2θ = 54.19°, I = 31.7; hkl 0 0 2, d 1.502, 2θ = 61.76°, I = 6.1; hkl 2 1 1, d 1.377, 2θ = 68.11°, I = 30.6; hkl 3 0 0, d 1.366, 2θ = 68.72°, I = 13.0; hkl 1 1 2, d 1.268, 2θ = 74.88°, I = 20.0; hkl 2 2 0, d 1.183, 2θ = 81.34°, I = 7.9



Entry 3:
Computed X-ray diffraction stick pattern
Compound: LuMnRh2
Radiation: Cu Ka
Structure: DFT lattice parameters and positions (GGA-PBE)
No peak broadening, texture or thermal motion is included.

Structure:
```
data_LuMnRh2
_cell_length_a 6.4055
_cell_length_b 6.4055
_cell_length_c 6.4055
_cell_angle_alpha 90.00
_cell_angle_beta 90.00
_cell_angle_gamma 90.00
_space_group_name_H-M_alt 'F m -3 m'
_space_group_IT_number 225
_space_group_name_Hall '-F 4 2 3'
loop_
_atom_site_label
_atom_site_type_symbol
_atom_site_fract_x
_atom_site_fract_y
_atom_site_fract_z
Lu1 Lu 0.0000 0.0000 0.0000
Mn1 Mn 0.0000 0.0000 0.5000
Rh1 Rh 0.2500 0.2500 0.2500
```

Top 8 peaks for 10° ≤ 2θ ≤ 90°, in order of rising 2θ:
hkl 1 1 1, d 3.698, 2θ = 24.06°, I = 17.0; hkl 2 2 0, d 2.265, 2θ = 39.80°, I = 100.0; hkl 3 1 1, d 1.931, 2θ = 47.05°, I = 9.1; hkl 4 0 0, d 1.601, 2θ = 57.56°, I = 16.7; hkl 3 3 1, d 1.470, 2θ = 63.28°, I = 3.9; hkl 4 2 2, d 1.308, 2θ = 72.26°, I = 33.4; hkl 5 1 1, d 1.233, 2θ = 77.42°, I = 3.0; hkl 4 4 0, d 1.132, 2θ = 85.82°, I = 10.7